(1)
V2P2PbO10: computed powder diffraction line list (Cu Ka), based on a cell relaxed with GGA+U.

Top 6 peaks for 2θ from 10° to 80°, low angle first:
- 20.2 deg, 4.393 Å, I 34.1, (0 2 0)
- 22.1 deg, 4.025 Å, I 47.4, (1 1 -2)
- 23.2 deg, 3.836 Å, I 43.5, (0 1 4)
- 26.4 deg, 3.378 Å, I 44.5, (1 2 0)
- 28.5 deg, 3.128 Å, I 100.0, (1 1 -4)
- 29.0 deg, 3.080 Å, I 41.1, (1 1 4)

Structural model:
a = 5.283 Å, b = 8.787 Å, c = 17.056 Å
α = 90.00°, β = 91.06°, γ = 90.00°
Sites, in units of the cell vectors:
1 V 0.037 0.037 0.151
2 V 0.037 0.463 0.651
3 V 0.355 0.665 0.931
4 V 0.355 0.835 0.431
5 V 0.645 0.165 0.569
6 V 0.645 0.335 0.069
7 V 0.963 0.537 0.349
8 V 0.963 0.963 0.849
9 P 0.133 0.089 0.678
10 P 0.133 0.411 0.178
11 P 0.143 0.218 0.982
12 P 0.143 0.282 0.482
13 P 0.857 0.718 0.518
14 P 0.857 0.782 0.018
15 P 0.867 0.589 0.822
16 P 0.867 0.911 0.322
17 Pb 0.452 0.203 0.320
18 Pb 0.452 0.297 0.820
19 Pb 0.548 0.703 0.180
20 Pb 0.548 0.797 0.680
21 O 0.098 0.684 0.013
22 O 0.098 0.816 0.513
23 O 0.121 0.541 0.863
24 O 0.121 0.959 0.363
25 O 0.131 0.241 0.202
26 O 0.131 0.259 0.702
27 O 0.146 0.140 0.899
28 O 0.146 0.360 0.399
29 O 0.163 0.102 0.048
30 O 0.163 0.398 0.548
31 O 0.180 0.509 0.252
32 O 0.180 0.991 0.752
33 O 0.287 0.561 0.685
34 O 0.287 0.939 0.185
35 O 0.309 0.670 0.387
36 O 0.309 0.830 0.887
37 O 0.364 0.056 0.625
38 O 0.364 0.444 0.125
39 O 0.389 0.181 0.479
40 O 0.389 0.319 0.979
41 O 0.611 0.681 0.021
42 O 0.611 0.819 0.521
43 O 0.636 0.556 0.875
44 O 0.636 0.944 0.375
45 O 0.691 0.170 0.113
46 O 0.691 0.330 0.613
47 O 0.713 0.061 0.815
48 O 0.713 0.439 0.315
49 O 0.820 0.009 0.248
50 O 0.820 0.491 0.748
51 O 0.837 0.602 0.452
52 O 0.837 0.898 0.952
53 O 0.854 0.640 0.601
54 O 0.854 0.860 0.101
55 O 0.869 0.741 0.298
56 O 0.869 0.759 0.798
57 O 0.879 0.041 0.637
58 O 0.879 0.459 0.137
59 O 0.902 0.184 0.487
60 O 0.902 0.316 0.987

***

(2)
Zn3P2Pb3WO14: computed powder diffraction line list (Cu Ka), based on a cell relaxed with GGA+U.

Top 6 peaks for 2θ from 10° to 80°, low angle first:
- 16.9 deg, 5.235 Å, I 32.4, (0 0 1)
- 26.9 deg, 3.309 Å, I 99.9, (1 1 1)
- 29.6 deg, 3.021 Å, I 100.0, (2 0 1)
- 36.4 deg, 2.466 Å, I 39.6, (3 0 0)
- 47.6 deg, 1.910 Å, I 53.5, (2 1 2)
- 57.0 deg, 1.615 Å, I 57.5, (3 2 1)

Structural model:
a = 8.541 Å, b = 8.541 Å, c = 5.235 Å
α = 90.00°, β = 90.00°, γ = 120.00°
Sites, in units of the cell vectors:
1 Zn 0.000 0.251 0.000
2 Zn 0.251 0.000 0.000
3 Zn 0.749 0.749 0.000
4 P 0.333 0.667 0.955
5 P 0.667 0.333 0.045
6 Pb 0.000 0.594 0.500
7 Pb 0.406 0.406 0.500
8 Pb 0.594 0.000 0.500
9 W 0.000 0.000 0.500
10 O 0.089 0.874 0.286
11 O 0.126 0.215 0.286
12 O 0.196 0.477 0.838
13 O 0.215 0.126 0.714
14 O 0.281 0.804 0.838
15 O 0.333 0.667 0.249
16 O 0.477 0.196 0.162
17 O 0.523 0.719 0.838
18 O 0.667 0.333 0.751
19 O 0.719 0.523 0.162
20 O 0.785 0.911 0.286
21 O 0.804 0.281 0.162
22 O 0.874 0.089 0.714
23 O 0.911 0.785 0.714